# 1
Diffraction record for BaMg14NbO16. The powder X-ray diffraction pattern is computed, not measured: it uses a PBE-relaxed structure and Cu Kα (weighted mean of Kα1 and Kα2).

Main lines, by angle (15° ≤ 2θ ≤ 90°):
| 2theta | I (rel.) | (hkl) |
| --- | --- | --- |
| 34.86 | 85 | 1 2 2 |
| 39.94 | 100 | 2 0 0 |
| 40.31 | 96 | 0 0 4 |
| 41.17 | 87 | 0 4 0 |
| 58.04 | 58 | 2 0 4 |
| 58.99 | 57 | 0 4 4 |

Structure:
Lattice parameters (Å, degrees): 4.5147 8.7699 8.9506 90.00 90.00 90.00
Atoms (fractional coordinates):
Ba (0.0000, 0.0000, 0.0000)
Mg (0.0000, 0.2617, 0.2554)
Mg (0.0000, 0.2617, 0.7446)
Mg (0.0000, 0.5000, 0.0000)
Mg (0.0000, 0.5000, 0.5000)
Mg (0.0000, 0.7383, 0.2554)
Mg (0.0000, 0.7383, 0.7446)
Mg (0.5000, 0.0000, 0.2572)
Mg (0.5000, 0.0000, 0.7428)
Mg (0.5000, 0.2573, 0.5000)
Mg (0.5000, 0.2652, 0.0000)
Mg (0.5000, 0.5000, 0.2517)
Mg (0.5000, 0.5000, 0.7483)
Mg (0.5000, 0.7348, 0.0000)
Mg (0.5000, 0.7427, 0.5000)
Nb (0.0000, 0.0000, 0.5000)
O (0.0000, 0.0000, 0.2682)
O (0.0000, 0.0000, 0.7318)
O (0.0000, 0.2630, 0.5000)
O (0.0000, 0.2818, 0.0000)
O (0.0000, 0.5000, 0.2574)
O (0.0000, 0.5000, 0.7426)
O (0.0000, 0.7182, 0.0000)
O (0.0000, 0.7370, 0.5000)
O (0.5000, 0.0000, 0.0000)
O (0.5000, 0.0000, 0.5000)
O (0.5000, 0.2503, 0.2507)
O (0.5000, 0.2503, 0.7493)
O (0.5000, 0.5000, 0.0000)
O (0.5000, 0.5000, 0.5000)
O (0.5000, 0.7497, 0.2507)
O (0.5000, 0.7497, 0.7493)

# 2
Diffraction record for BaMg14NbO16. The powder X-ray diffraction pattern is computed, not measured: it uses a PBE-relaxed structure and Cu Kα (weighted mean of Kα1 and Kα2).

Main lines, by angle (15° ≤ 2θ ≤ 90°):
| 2theta | I (rel.) | (hkl) |
| --- | --- | --- |
| 20.20 | 30 | 2 0 0 |
| 24.31 | 34 | 1 1 1 |
| 35.01 | 48 | 2 2 1 |
| 39.79 | 57 | 0 0 2 |
| 41.07 | 100 | 4 0 0 |
| 58.51 | 63 | 4 0 2 |

Structure:
Lattice parameters (Å, degrees): 8.7904 8.7904 4.5313 90.00 90.00 90.00
Atoms (fractional coordinates):
Ba (0.0000, 0.0000, 0.0000)
Mg (0.0000, 0.2638, 0.5000)
Mg (0.0000, 0.5000, 0.0000)
Mg (0.0000, 0.7362, 0.5000)
Mg (0.2467, 0.5000, 0.5000)
Mg (0.2562, 0.2562, 0.0000)
Mg (0.2562, 0.7438, 0.0000)
Mg (0.2638, 0.0000, 0.5000)
Mg (0.5000, 0.0000, 0.0000)
Mg (0.5000, 0.2467, 0.5000)
Mg (0.5000, 0.7533, 0.5000)
Mg (0.7362, 0.0000, 0.5000)
Mg (0.7438, 0.2562, 0.0000)
Mg (0.7438, 0.7438, 0.0000)
Mg (0.7533, 0.5000, 0.5000)
Nb (0.5000, 0.5000, 0.0000)
O (0.0000, 0.0000, 0.5000)
O (0.0000, 0.2801, 0.0000)
O (0.0000, 0.5000, 0.5000)
O (0.0000, 0.7199, 0.0000)
O (0.2443, 0.5000, 0.0000)
O (0.2510, 0.2510, 0.5000)
O (0.2510, 0.7490, 0.5000)
O (0.2801, 0.0000, 0.0000)
O (0.5000, 0.0000, 0.5000)
O (0.5000, 0.2443, 0.0000)
O (0.5000, 0.5000, 0.5000)
O (0.5000, 0.7557, 0.0000)
O (0.7199, 0.0000, 0.0000)
O (0.7490, 0.2510, 0.5000)
O (0.7490, 0.7490, 0.5000)
O (0.7557, 0.5000, 0.0000)